SrPrCdIn: computed X-ray powder pattern (Cu Ka), based on a DFT-relaxed cell (PBE, Alexandria).
Neutral-atom scattering factors, no anomalous dispersion.

Peak list (6 most intense, 10° ≤ 2θ ≤ 90°, sorted by position)
- (2 2 0), 2θ 31.83, rel. 100
- (4 0 0), 2θ 45.63, rel. 18
- (4 2 2), 2θ 56.70, rel. 37
- (4 4 0), 2θ 66.51, rel. 11
- (6 2 0), 2θ 75.63, rel. 16
- (4 4 4), 2θ 84.38, rel. 4

Cell and atoms:
```
data_SrPrCdIn
_cell_length_a 7.9528
_cell_length_b 7.9528
_cell_length_c 7.9528
_cell_angle_alpha 90.00
_cell_angle_beta 90.00
_cell_angle_gamma 90.00
_symmetry_space_group_name_H-M 'F -4 3 m'
_symmetry_Int_Tables_number 216
_symmetry_space_group_name_Hall 'F -4 2 3'
loop_
_atom_site_label
_atom_site_type_symbol
_atom_site_fract_x
_atom_site_fract_y
_atom_site_fract_z
Sr1 Sr 0.0000 0.0000 0.0000
Pr1 Pr 0.0000 0.0000 0.5000
Cd1 Cd 0.2500 0.2500 0.7500
In1 In 0.2500 0.2500 0.2500
```



Ni3PdW: computed X-ray powder pattern (Cu Ka), based on a DFT-relaxed cell (PBE, Alexandria).
Neutral-atom scattering factors, no anomalous dispersion.

Peak list (6 most intense, 10° ≤ 2θ ≤ 90°, sorted by position)
- (0 0 1), 2θ 14.86, rel. 76
- (1 1 -1), 2θ 28.68, rel. 87
- (0 2 1), 2θ 41.43, rel. 63
- (2 1 0), 2θ 41.92, rel. 100
- (1 1 2), 2θ 43.05, rel. 62
- (1 2 -2), 2θ 50.97, rel. 51

Cell and atoms:
```
data_Ni3PdW
_cell_length_a 4.9421
_cell_length_b 4.6835
_cell_length_c 6.0679
_cell_angle_alpha 90.00
_cell_angle_beta 100.80
_cell_angle_gamma 90.00
_symmetry_space_group_name_H-M 'P 1 21/m 1'
_symmetry_Int_Tables_number 11
loop_
_symmetry_equiv_pos_as_xyz
'x,y,z'
'-x,-y,-z'
'-x,y+1/2,-z'
'x,-y+1/2,z'
loop_
_atom_site_label
_atom_site_type_symbol
_atom_site_fract_x
_atom_site_fract_y
_atom_site_fract_z
Ni1 Ni 0.1056 0.2500 0.3754
Ni2 Ni 0.3810 0.5027 0.1539
Pd1 Pd 0.1198 0.2500 0.8003
W1 W 0.3448 0.7500 0.5180
```



Ti9In3O2: computed X-ray powder pattern (Cu Ka), based on a DFT-relaxed cell (PBE, Alexandria).
Neutral-atom scattering factors, no anomalous dispersion.

Peak list (6 most intense, 10° ≤ 2θ ≤ 90°, sorted by position)
- (0 0 3), 2θ 36.99, rel. 34
- (2 0 1), 2θ 37.20, rel. 100
- (0 2 2), 2θ 43.16, rel. 76
- (2 0 4), 2θ 62.54, rel. 23
- (2 2 0), 2θ 62.83, rel. 22
- (2 2 3), 2θ 75.20, rel. 22

Cell and atoms:
```
data_Ti9In3O2
_cell_length_a 5.9162
_cell_length_b 5.9162
_cell_length_c 7.2914
_cell_angle_alpha 90.00
_cell_angle_beta 90.00
_cell_angle_gamma 120.00
_symmetry_space_group_name_H-M 'P -3 m 1'
_symmetry_Int_Tables_number 164
_symmetry_space_group_name_Hall '-P 3 2"'
loop_
_atom_site_label
_atom_site_type_symbol
_atom_site_fract_x
_atom_site_fract_y
_atom_site_fract_z
Ti1 Ti 0.0000 0.5000 0.0000
Ti2 Ti 0.1604 0.3209 0.6586
In1 In 0.0000 0.0000 0.0000
In2 In 0.3333 0.6667 0.3339
O1 O 0.3333 0.6667 0.8300
```



SmDy7Mg4: computed X-ray powder pattern (Cu Ka), based on a DFT-relaxed cell (PBE, Alexandria).
Neutral-atom scattering factors, no anomalous dispersion.

Peak list (6 most intense, 10° ≤ 2θ ≤ 90°, sorted by position)
- (4 0 -3), 2θ 29.68, rel. 58
- (1 1 2), 2θ 30.36, rel. 65
- (0 2 0), 2θ 31.17, rel. 100
- (2 0 2), 2θ 31.39, rel. 60
- (3 1 -3), 2θ 32.03, rel. 73
- (5 1 -1), 2θ 34.42, rel. 70

Cell and atoms:
```
data_SmDy7Mg4
_cell_length_a 15.0825
_cell_length_b 5.7384
_cell_length_c 9.6876
_cell_angle_alpha 90.00
_cell_angle_beta 121.77
_cell_angle_gamma 90.00
_symmetry_space_group_name_H-M 'C 1 2/m 1'
_symmetry_Int_Tables_number 12
loop_
_symmetry_equiv_pos_as_xyz
'x,y,z'
'-x,-y,-z'
'-x,y,-z'
'x,-y,z'
'x+1/2,y+1/2,z'
'-x+1/2,-y+1/2,-z'
'-x+1/2,y+1/2,-z'
'x+1/2,-y+1/2,z'
loop_
_atom_site_label
_atom_site_type_symbol
_atom_site_fract_x
_atom_site_fract_y
_atom_site_fract_z
Sm1 Sm 0.0000 0.0000 0.0000
Dy1 Dy 0.0000 0.5000 0.0000
Dy2 Dy 0.0798 0.0000 0.4256
Dy3 Dy 0.2029 0.0000 0.8773
Dy4 Dy 0.2485 0.5000 0.7104
Mg1 Mg 0.0416 0.5000 0.6977
Mg2 Mg 0.1752 0.5000 0.3459
```



Ac4PuPb5: computed X-ray powder pattern (Cu Ka), based on a DFT-relaxed cell (PBE, Alexandria).
Neutral-atom scattering factors, no anomalous dispersion.

Peak list (6 most intense, 10° ≤ 2θ ≤ 90°, sorted by position)
- (1 0 5), 2θ 30.24, rel. 100
- (1 1 0), 2θ 33.32, rel. 40
- (0 0 10), 2θ 38.34, rel. 12
- (2 0 0), 2θ 47.83, rel. 15
- (1 1 10), 2θ 51.69, rel. 21
- (2 1 5), 2θ 57.64, rel. 34

Cell and atoms:
```
data_Ac4PuPb5
_cell_length_a 3.8033
_cell_length_b 3.8033
_cell_length_c 23.4742
_cell_angle_alpha 90.00
_cell_angle_beta 90.00
_cell_angle_gamma 90.00
_symmetry_space_group_name_H-M 'P 4/m m m'
_symmetry_Int_Tables_number 123
_symmetry_space_group_name_Hall '-P 4 2'
loop_
_atom_site_label
_atom_site_type_symbol
_atom_site_fract_x
_atom_site_fract_y
_atom_site_fract_z
Ac1 Ac 0.0000 0.0000 0.1024
Ac2 Ac 0.0000 0.0000 0.3069
Pu1 Pu 0.0000 0.0000 0.5000
Pb1 Pb 0.5000 0.5000 0.0000
Pb2 Pb 0.5000 0.5000 0.2043
Pb3 Pb 0.5000 0.5000 0.4088
```



Nd3Sn: computed X-ray powder pattern (Cu Ka), based on a DFT-relaxed cell (PBE, Alexandria).
Neutral-atom scattering factors, no anomalous dispersion.

Peak list (6 most intense, 10° ≤ 2θ ≤ 90°, sorted by position)
- (1 0 1), 2θ 28.47, rel. 20
- (0 4 0), 2θ 31.51, rel. 31
- (1 2 1), 2θ 32.62, rel. 100
- (0 2 2), 2θ 33.61, rel. 39
- (1 0 3), 2θ 51.80, rel. 17
- (1 4 3), 2θ 61.90, rel. 17

Cell and atoms:
```
data_Nd3Sn
_cell_length_a 3.6682
_cell_length_b 11.3584
_cell_length_c 6.0399
_cell_angle_alpha 90.00
_cell_angle_beta 90.00
_cell_angle_gamma 90.00
_symmetry_space_group_name_H-M 'I m m 2'
_symmetry_Int_Tables_number 44
loop_
_symmetry_equiv_pos_as_xyz
'x,y,z'
'-x,-y,z'
'-x,y,z'
'x,-y,z'
'x+1/2,y+1/2,z+1/2'
'-x+1/2,-y+1/2,z+1/2'
'-x+1/2,y+1/2,z+1/2'
'x+1/2,-y+1/2,z+1/2'
loop_
_atom_site_label
_atom_site_type_symbol
_atom_site_fract_x
_atom_site_fract_y
_atom_site_fract_z
Nd1 Nd 0.0000 0.0000 0.0000
Nd2 Nd 0.0000 0.2282 0.3655
Sn1 Sn 0.0000 0.5000 0.0418
```